Entry 1:
Starting from DFT lattice parameters and positions (GGA-PBE), the powder XRD pattern of Ce2SiPd14 was simulated for copper Kα.
Peak positions follow from Bragg's law for the DFT cell and can differ from measured ones.

Atomic structure:
Lattice parameters (Å, degrees): 9.0004 9.0004 7.0353 90.00 90.00 90.00
Element x y z (fractional)
Ce (0.2500, 0.2500, 0.0636)
Ce (0.2500, 0.7500, 0.5000)
Ce (0.7500, 0.2500, 0.5000)
Ce (0.7500, 0.7500, 0.9364)
Si (0.2500, 0.2500, 0.5502)
Si (0.7500, 0.7500, 0.4498)
Pd (0.0000, 0.0000, 0.0000)
Pd (0.0000, 0.5000, 0.0000)
Pd (0.0191, 0.2500, 0.7398)
Pd (0.0846, 0.0846, 0.3845)
Pd (0.0846, 0.4154, 0.3845)
Pd (0.0996, 0.7500, 0.8509)
Pd (0.2500, 0.0191, 0.7398)
Pd (0.2500, 0.4809, 0.7398)
Pd (0.2500, 0.5996, 0.1491)
Pd (0.2500, 0.9004, 0.1491)
Pd (0.4004, 0.7500, 0.8509)
Pd (0.4154, 0.0846, 0.3845)
Pd (0.4154, 0.4154, 0.3845)
Pd (0.4809, 0.2500, 0.7398)
Pd (0.5000, 0.0000, 0.0000)
Pd (0.5000, 0.5000, 0.0000)
Pd (0.5191, 0.7500, 0.2602)
Pd (0.5846, 0.5846, 0.6155)
Pd (0.5846, 0.9154, 0.6155)
Pd (0.5996, 0.2500, 0.1491)
Pd (0.7500, 0.0996, 0.8509)
Pd (0.7500, 0.4004, 0.8509)
Pd (0.7500, 0.5191, 0.2602)
Pd (0.7500, 0.9809, 0.2602)
Pd (0.9004, 0.2500, 0.1491)
Pd (0.9154, 0.5846, 0.6155)
Pd (0.9154, 0.9154, 0.6155)
Pd (0.9809, 0.7500, 0.2602)

Principal peaks in the range 2θ = 10–80°, low angle first:
d_spacing  intensity
2.638  64
2.360  100
2.353  75
2.283  95
2.269  31
2.250  27
2.200  22
2.085  37
2.080  26
1.935  28
1.319  24
1.254  23

---

Entry 2:
Starting from DFT lattice parameters and positions (GGA-PBE), the powder XRD pattern of Ce4Sn25Pd12 was simulated for copper Kα.
Peak positions follow from Bragg's law for the DFT cell and can differ from measured ones.

Atomic structure:
Lattice parameters (Å, degrees): 10.7361 10.7361 10.7361 109.47 109.47 109.47
Element x y z (fractional)
Ce (0.0000, 0.0000, 0.5000)
Ce (0.0000, 0.5000, 0.0000)
Ce (0.5000, 0.0000, 0.0000)
Ce (0.5000, 0.5000, 0.5000)
Sn (0.0000, 0.0000, 0.0000)
Sn (0.0054, 0.3783, 0.6271)
Sn (0.1235, 0.2505, 0.3740)
Sn (0.1235, 0.7495, 0.8730)
Sn (0.1270, 0.8765, 0.2505)
Sn (0.2488, 0.6217, 0.6271)
Sn (0.2505, 0.1270, 0.8765)
Sn (0.2505, 0.3740, 0.1235)
Sn (0.3729, 0.7512, 0.3783)
Sn (0.3729, 0.9946, 0.6217)
Sn (0.3740, 0.1235, 0.2505)
Sn (0.3783, 0.3729, 0.7512)
Sn (0.3783, 0.6271, 0.0054)
Sn (0.6217, 0.3729, 0.9946)
Sn (0.6217, 0.6271, 0.2488)
Sn (0.6260, 0.8765, 0.7495)
Sn (0.6271, 0.0054, 0.3783)
Sn (0.6271, 0.2488, 0.6217)
Sn (0.7495, 0.6260, 0.8765)
Sn (0.7495, 0.8730, 0.1235)
Sn (0.7512, 0.3783, 0.3729)
Sn (0.8730, 0.1235, 0.7495)
Sn (0.8765, 0.2505, 0.1270)
Sn (0.8765, 0.7495, 0.6260)
Sn (0.9946, 0.6217, 0.3729)
Pd (0.1523, 0.3195, 0.8328)
Pd (0.1672, 0.4868, 0.3195)
Pd (0.1672, 0.8477, 0.6805)
Pd (0.3195, 0.1672, 0.4868)
Pd (0.3195, 0.8328, 0.1523)
Pd (0.4868, 0.3195, 0.1672)
Pd (0.5132, 0.6805, 0.8328)
Pd (0.6805, 0.1672, 0.8477)
Pd (0.6805, 0.8328, 0.5132)
Pd (0.8328, 0.1523, 0.3195)
Pd (0.8328, 0.5132, 0.6805)
Pd (0.8477, 0.6805, 0.1672)

Principal peaks in the range 2θ = 10–80°, low angle first:
d_spacing  intensity
2.922  98
2.772  100
2.531  76
2.431  27
2.126  62
2.011  44
1.828  25
1.657  16
1.550  23
1.526  32
1.482  19
1.252  32

---

Entry 3:
Starting from DFT lattice parameters and positions (GGA-PBE), the powder XRD pattern of Ce2SnPd2 was simulated for copper Kα.
Peak positions follow from Bragg's law for the DFT cell and can differ from measured ones.

Atomic structure:
Lattice parameters (Å, degrees): 7.8104 7.8104 3.8108 90.00 90.00 90.00
Element x y z (fractional)
Ce (0.1769, 0.3231, 0.0000)
Ce (0.3231, 0.8231, 0.0000)
Ce (0.6769, 0.1769, 0.0000)
Ce (0.8231, 0.6769, 0.0000)
Sn (0.0000, 0.0000, 0.5000)
Sn (0.5000, 0.5000, 0.5000)
Pd (0.1277, 0.6277, 0.5000)
Pd (0.3723, 0.1277, 0.5000)
Pd (0.6277, 0.8723, 0.5000)
Pd (0.8723, 0.3723, 0.5000)

Principal peaks in the range 2θ = 10–80°, low angle first:
d_spacing  intensity
2.761  12
2.727  37
2.575  100
2.470  45
2.166  8
1.905  16
1.894  9
1.696  14
1.658  8
1.509  19
1.421  12
1.355  10